1.
Starting from a structure optimized by DFT (PBE), the X-ray powder pattern of CsZnRhCl6 was computed for Cu Kα (weighted mean of Kα1 and Kα2).
No peak broadening, texture or thermal motion is included.

Structural model:
```
data_CsZnRhCl6
_chemical_formula_sum 'Cs1 Zn1 Rh1 Cl6'
_cell_length_a 6.3444
_cell_length_b 6.3444
_cell_length_c 7.8816
_cell_angle_alpha 90.00
_cell_angle_beta 90.00
_cell_angle_gamma 120.00
_symmetry_space_group_name_H-M 'P 3 1 2'
_symmetry_Int_Tables_number 149
loop_
_symmetry_equiv_pos_as_xyz
'x,y,z'
'-y,x-y,z'
'-x+y,-x,z'
'-y,-x,-z'
'-x+y,y,-z'
'x,x-y,-z'
loop_
_atom_site_label
_atom_site_fract_x
_atom_site_fract_y
_atom_site_fract_z
_atom_site_occupancy
Cs1 0.0000 0.0000 0.0000 1
Zn1 0.6667 0.3333 0.5000 1
Rh1 0.3333 0.6667 0.5000 1
Cl1 0.0149 0.3740 0.6716 1
```

Top 10 peaks for 2θ = 15–90°, low angle first:
- 19.70 deg, intensity 100, hkl 1 0 1
- 28.13 deg, intensity 15, hkl 1 1 0
- 30.37 deg, intensity 16, hkl 1 1 1
- 34.58 deg, intensity 16, hkl 2 0 1
- 36.36 deg, intensity 58, hkl 2 -1 2
- 37.96 deg, intensity 13, hkl 1 0 3
- 45.15 deg, intensity 21, hkl 3 -1 1
- 47.91 deg, intensity 13, hkl 2 0 3
- 49.79 deg, intensity 17, hkl 3 0 0
- 54.85 deg, intensity 16, hkl 1 1 4

2.
Starting from a structure optimized by DFT (PBE), the X-ray powder pattern of Cs3U2S5Cl2 was computed for Cu Kα (weighted mean of Kα1 and Kα2).
No peak broadening, texture or thermal motion is included.

Structural model:
```
data_Cs3U2S5Cl2
_chemical_formula_sum 'Cs6 U4 S10 Cl4'
_cell_length_a 5.273
_cell_length_b 5.273
_cell_length_c 28.456
_cell_angle_alpha 90.00
_cell_angle_beta 90.00
_cell_angle_gamma 90.00
_symmetry_space_group_name_H-M 'I 4/m m m'
_symmetry_Int_Tables_number 139
_symmetry_space_group_name_Hall '-I 4 2'
loop_
_atom_site_label
_atom_site_fract_x
_atom_site_fract_y
_atom_site_fract_z
_atom_site_occupancy
Cs1 0.000 0.000 0.000 1
Cs2 0.000 0.000 0.183 1
U1 0.000 0.000 0.408 1
S1 0.000 0.000 0.500 1
S2 0.000 0.500 0.095 1
Cl1 0.000 0.000 0.310 1
```

Top 10 peaks for 2θ = 15–90°, low angle first:
- 17.10 deg, intensity 17, hkl 1 0 1
- 22.99 deg, intensity 100, hkl 1 0 5
- 23.86 deg, intensity 65, hkl 1 1 0
- 27.71 deg, intensity 18, hkl 1 0 7
- 31.44 deg, intensity 18, hkl 0 0 10
- 34.00 deg, intensity 47, hkl 2 0 0
- 39.85 deg, intensity 19, hkl 1 1 10
- 41.45 deg, intensity 45, hkl 2 1 5
- 46.98 deg, intensity 23, hkl 2 0 10
- 68.79 deg, intensity 17, hkl 2 1 17